# 1
For Tb6RhBr10, the PBE geometry in Alexandria gives the calculated powder diffractogram in this record (copper Kα).
Lines closer than 0.1° are merged.

Top 10 peaks for 5° ≤ 2θ ≤ 70°, sorted by position:
- 10.2 deg, rel. 76
- 10.6 deg, rel. 74
- 29.4 deg, rel. 100
- 30.4 deg, rel. 99
- 30.7 deg, rel. 94
- 42.5 deg, rel. 32
- 42.7 deg, rel. 31
- 43.0 deg, rel. 38
- 43.4 deg, rel. 35
- 43.8 deg, rel. 66

Atomic structure:
```
Tb6RhBr10
1.0
7.415 0.000 0.000
-2.345 8.908 0.000
-1.063 -3.223 8.662
Tb Rh Br
6 1 10
Cartesian
-0.660 0.513 3.542 Tb
-0.615 4.072 2.197 Tb
0.456 3.470 5.891 Tb
3.552 2.215 2.771 Tb
4.623 1.613 6.465 Tb
4.667 5.172 5.120 Tb
-1.704 2.843 4.331 Rh
-1.743 6.714 2.845 Br
0.897 1.704 1.347 Br
-0.548 2.091 8.281 Br
-0.519 5.983 6.699 Br
1.989 0.981 5.063 Br
2.018 4.705 3.599 Br
4.526 -0.297 1.963 Br
4.555 3.594 0.381 Br
3.111 3.982 7.315 Br
5.750 -1.028 5.817 Br
```



# 2
For Te2RhBr, the PBE geometry in Alexandria gives the calculated powder diffractogram in this record (copper Kα).
Lines closer than 0.1° are merged.

Top 10 peaks for 5° ≤ 2θ ≤ 70°, sorted by position:
- 11.7 deg, rel. 100
- 21.1 deg, rel. 31
- 23.6 deg, rel. 22
- 26.2 deg, rel. 48
- 28.7 deg, rel. 21
- 35.5 deg, rel. 23
- 39.5 deg, rel. 39
- 39.7 deg, rel. 44
- 40.2 deg, rel. 24
- 40.7 deg, rel. 31

Atomic structure:
```
Te2RhBr
1.0
2.388 -7.553 0.000
2.388 7.553 0.000
-1.740 0.000 6.959
Te Rh Br
4 2 2
Cartesian
0.658 2.434 0.827 Te
-0.212 -2.434 4.307 Te
3.248 2.434 2.652 Te
2.378 -2.434 6.132 Te
1.953 4.486 1.740 Rh
1.083 -4.486 5.219 Rh
1.083 1.529 5.219 Br
1.953 -1.529 1.740 Br
```



# 3
For TeRhBr4, the PBE geometry in Alexandria gives the calculated powder diffractogram in this record (copper Kα).
Lines closer than 0.1° are merged.

Top 8 peaks for 5° ≤ 2θ ≤ 70°, sorted by position:
- 29.2 deg, rel. 38
- 34.4 deg, rel. 100
- 36.0 deg, rel. 30
- 41.8 deg, rel. 1
- 51.8 deg, rel. 15
- 55.2 deg, rel. 33
- 60.6 deg, rel. 27
- 68.7 deg, rel. 6

Atomic structure:
```
TeRhBr4
1.0
0.000 4.322 4.322
4.322 0.000 4.322
4.322 4.322 0.000
Te Rh Br
1 1 4
Cartesian
0.000 0.000 0.000 Te
2.161 2.161 2.161 Rh
5.401 3.244 3.244 Br
3.244 5.401 3.244 Br
3.244 3.244 5.401 Br
5.401 5.401 5.401 Br
```



# 4
For Tl4RhBr6, the PBE geometry in Alexandria gives the calculated powder diffractogram in this record (copper Kα).
Lines closer than 0.1° are merged.

Top 10 peaks for 5° ≤ 2θ ≤ 70°, sorted by position:
- 13.8 deg, rel. 13
- 19.0 deg, rel. 14
- 22.6 deg, rel. 23
- 29.7 deg, rel. 100
- 32.2 deg, rel. 39
- 37.6 deg, rel. 13
- 38.5 deg, rel. 18
- 51.0 deg, rel. 20
- 60.0 deg, rel. 11
- 64.2 deg, rel. 11

Atomic structure:
```
Tl4RhBr6
1.0
8.791 0.000 0.000
0.000 8.791 0.000
0.000 0.000 9.362
Tl Rh Br
8 2 12
Cartesian
1.330 3.066 2.340 Tl
1.330 3.066 7.021 Tl
3.066 7.461 2.340 Tl
3.066 7.461 7.021 Tl
5.725 1.330 2.340 Tl
5.725 1.330 7.021 Tl
7.461 5.725 2.340 Tl
7.461 5.725 7.021 Tl
0.000 0.000 0.000 Rh
4.395 4.395 4.681 Rh
0.000 0.000 2.511 Br
0.000 0.000 6.850 Br
1.132 6.313 0.000 Br
1.918 5.527 4.681 Br
2.478 1.132 0.000 Br
3.264 1.918 4.681 Br
4.395 4.395 2.169 Br
4.395 4.395 7.192 Br
5.527 6.873 4.681 Br
6.313 7.659 0.000 Br
6.873 3.264 4.681 Br
7.659 2.478 0.000 Br
```



# 5
For TlRhBr4, the PBE geometry in Alexandria gives the calculated powder diffractogram in this record (copper Kα).
Lines closer than 0.1° are merged.

Top 10 peaks for 5° ≤ 2θ ≤ 70°, sorted by position:
- 16.3 deg, rel. 67
- 22.5 deg, rel. 39
- 25.6 deg, rel. 58
- 31.2 deg, rel. 27
- 32.6 deg, rel. 100
- 32.8 deg, rel. 48
- 38.9 deg, rel. 24
- 39.6 deg, rel. 26
- 47.1 deg, rel. 23
- 53.4 deg, rel. 30

Atomic structure:
```
TlRhBr4
1.0
5.888 -1.930 0.000
5.888 1.930 0.000
-3.298 0.000 7.890
Tl Rh Br
1 1 4
Cartesian
0.000 0.000 0.000 Tl
4.239 0.000 3.945 Rh
-0.074 0.000 3.509 Br
3.555 0.000 1.514 Br
4.922 0.000 6.376 Br
8.551 0.000 4.381 Br
```



# 6
For Tm3RhBr3, the PBE geometry in Alexandria gives the calculated powder diffractogram in this record (copper Kα).
Lines closer than 0.1° are merged.

Top 10 peaks for 5° ≤ 2θ ≤ 70°, sorted by position:
- 7.5 deg, rel. 71
- 10.5 deg, rel. 65
- 30.5 deg, rel. 100
- 31.7 deg, rel. 20
- 32.6 deg, rel. 14
- 34.0 deg, rel. 14
- 38.9 deg, rel. 27
- 43.2 deg, rel. 38
- 44.8 deg, rel. 21
- 55.1 deg, rel. 16

Atomic structure:
```
Tm3RhBr3
1.0
8.466 0.000 0.000
0.000 4.049 0.000
-0.344 0.000 11.726
Tm Rh Br
6 2 6
Cartesian
0.730 1.012 3.814 Tm
0.958 1.012 10.108 Tm
2.205 3.037 1.178 Tm
5.917 1.012 10.548 Tm
7.164 3.037 1.618 Tm
7.392 3.037 7.911 Tm
0.411 1.012 1.117 Rh
7.711 3.037 10.608 Rh
0.909 1.012 7.024 Br
2.742 3.037 4.208 Br
3.368 3.037 10.184 Br
4.754 1.012 1.542 Br
5.380 1.012 7.517 Br
7.213 3.037 4.702 Br
```



# 7
For Y3RhBr3, the PBE geometry in Alexandria gives the calculated powder diffractogram in this record (copper Kα).
Lines closer than 0.1° are merged.

Top 10 peaks for 5° ≤ 2θ ≤ 70°, sorted by position:
- 7.5 deg, rel. 43
- 10.3 deg, rel. 39
- 30.2 deg, rel. 100
- 31.0 deg, rel. 9
- 31.3 deg, rel. 14
- 32.2 deg, rel. 10
- 38.4 deg, rel. 9
- 42.7 deg, rel. 36
- 44.2 deg, rel. 18
- 54.5 deg, rel. 15

Atomic structure:
```
Y3RhBr3
1.0
8.557 0.000 0.000
0.000 4.094 0.000
-0.350 0.000 11.863
Y Rh Br
6 2 6
Cartesian
0.753 1.024 3.913 Y
0.956 1.024 10.223 Y
2.286 3.071 1.225 Y
5.921 1.024 10.638 Y
7.251 3.071 1.640 Y
7.454 3.071 7.950 Y
0.445 1.024 1.147 Rh
7.762 3.071 10.716 Rh
0.931 1.024 7.108 Br
2.809 3.071 4.248 Br
3.383 3.071 10.313 Br
4.824 1.024 1.550 Br
5.398 1.024 7.615 Br
7.275 3.071 4.755 Br
```



# 8
For YRhBr, the PBE geometry in Alexandria gives the calculated powder diffractogram in this record (copper Kα).
Lines closer than 0.1° are merged.

Top 10 peaks for 5° ≤ 2θ ≤ 70°, sorted by position:
- 8.3 deg, rel. 100
- 24.7 deg, rel. 8
- 31.2 deg, rel. 52
- 33.0 deg, rel. 15
- 37.2 deg, rel. 12
- 39.5 deg, rel. 21
- 42.4 deg, rel. 41
- 43.3 deg, rel. 11
- 53.5 deg, rel. 11
- 68.9 deg, rel. 18

Atomic structure:
```
YRhBr
1.0
2.132 1.231 10.642
-2.132 1.231 10.642
0.000 -2.462 10.642
Y Rh Br
2 2 2
Cartesian
0.000 0.000 1.794 Y
0.000 0.000 30.131 Y
0.000 0.000 10.689 Rh
0.000 0.000 21.236 Rh
0.000 0.000 7.073 Br
0.000 0.000 24.852 Br
```



# 9
For ZnRhBr, the PBE geometry in Alexandria gives the calculated powder diffractogram in this record (copper Kα).
Lines closer than 0.1° are merged.

Top 10 peaks for 5° ≤ 2θ ≤ 70°, sorted by position:
- 15.4 deg, rel. 25
- 31.2 deg, rel. 5
- 37.1 deg, rel. 100
- 40.8 deg, rel. 47
- 43.9 deg, rel. 7
- 47.5 deg, rel. 6
- 49.2 deg, rel. 18
- 59.1 deg, rel. 15
- 64.1 deg, rel. 5
- 64.4 deg, rel. 10

Atomic structure:
```
ZnRhBr
1.0
-1.564 1.564 5.738
1.564 -1.564 5.738
1.564 1.564 -5.738
Zn Rh Br
1 1 1
Cartesian
0.000 0.000 0.000 Zn
0.000 0.000 7.069 Rh
0.000 0.000 3.173 Br
```



# 10
For ZrRhBr2, the PBE geometry in Alexandria gives the calculated powder diffractogram in this record (copper Kα).
Lines closer than 0.1° are merged.

Top 10 peaks for 5° ≤ 2θ ≤ 70°, sorted by position:
- 11.9 deg, rel. 100
- 23.7 deg, rel. 14
- 24.9 deg, rel. 20
- 26.2 deg, rel. 15
- 31.2 deg, rel. 18
- 34.1 deg, rel. 51
- 36.1 deg, rel. 21
- 38.6 deg, rel. 37
- 44.2 deg, rel. 12
- 44.5 deg, rel. 35

Atomic structure:
```
ZrRhBr2
1.0
7.475 -1.750 0.000
7.475 1.750 0.000
-0.237 0.000 4.198
Zr Rh Br
1 1 2
Cartesian
0.000 0.000 0.000 Zr
7.357 0.000 2.099 Rh
5.169 0.000 3.303 Br
9.544 0.000 0.896 Br
```



# 11
For RuBr3, the PBE geometry in Alexandria gives the calculated powder diffractogram in this record (copper Kα).
Lines closer than 0.1° are merged.

Top 10 peaks for 5° ≤ 2θ ≤ 70°, sorted by position:
- 14.7 deg, rel. 100
- 29.7 deg, rel. 70
- 39.9 deg, rel. 37
- 42.5 deg, rel. 12
- 42.7 deg, rel. 17
- 45.1 deg, rel. 25
- 50.5 deg, rel. 15
- 53.2 deg, rel. 13
- 54.9 deg, rel. 17
- 61.8 deg, rel. 9

Atomic structure:
```
RuBr3
1.0
6.963 0.000 0.000
-3.482 6.030 0.000
0.000 0.000 5.944
Ru Br
2 6
Cartesian
0.000 0.000 0.000 Ru
0.000 0.000 2.972 Ru
-1.014 1.757 1.486 Br
-2.467 4.274 4.458 Br
2.028 0.000 1.486 Br
1.014 1.757 4.458 Br
4.935 0.000 4.458 Br
2.467 4.274 1.486 Br
```



# 12
For RuS8Br2, the PBE geometry in Alexandria gives the calculated powder diffractogram in this record (copper Kα).
Lines closer than 0.1° are merged.

Top 10 peaks for 5° ≤ 2θ ≤ 70°, sorted by position:
- 12.8 deg, rel. 42
- 14.6 deg, rel. 95
- 15.8 deg, rel. 100
- 26.1 deg, rel. 37
- 26.8 deg, rel. 64
- 27.3 deg, rel. 36
- 28.2 deg, rel. 46
- 29.0 deg, rel. 66
- 32.8 deg, rel. 54
- 47.6 deg, rel. 34

Atomic structure:
```
RuS8Br2
1.0
3.849 0.000 0.000
0.786 6.931 0.000
0.435 0.997 10.838
Ru S Br
1 8 2
Cartesian
0.000 0.000 0.000 Ru
1.252 5.932 9.680 S
2.616 5.950 8.185 S
2.325 1.874 9.598 S
2.255 0.974 7.721 S
2.815 6.954 3.117 S
2.745 6.053 1.240 S
2.454 1.977 2.653 S
3.818 1.995 1.158 S
0.928 3.004 6.104 Br
4.142 4.923 4.734 Br
```



- What is the formula in the eleventh record?
  RuBr3



- Number 5 is which compound?
  TlRhBr4



- Which formula does entry 2 have?
  Te2RhBr